(1)
Starting from DFT lattice parameters and positions (PBE), the XRD peak list of Ho4InSn4Pd2 was computed for Cu Kα (weighted mean of Kα1 and Kα2).
Kinematic intensities with the Lorentz-polarization factor, no thermal factor.

Structure:
Unit cell a=8.481 b=8.481 c=7.556 alpha=107.80 beta=107.80 gamma=30.97
Positions (direct):
Ho 0.090 0.090 0.389
Ho 0.156 0.156 0.938
Ho 0.844 0.844 0.062
Ho 0.910 0.910 0.611
In 0.500 0.500 0.000
Sn 0.308 0.308 0.763
Sn 0.433 0.433 0.327
Sn 0.567 0.567 0.673
Sn 0.692 0.692 0.237
Pd 0.278 0.278 0.379
Pd 0.722 0.722 0.621

The 10 most intense peaks (2θ = 10–90°), in order of falling intensity:
2θ = 33.8°, intensity 100; 2θ = 32.3°, intensity 92; 2θ = 31.3°, intensity 80; 2θ = 39.8°, intensity 75; 2θ = 34.0°, intensity 60; 2θ = 35.1°, intensity 40; 2θ = 32.9°, intensity 34; 2θ = 37.4°, intensity 28; 2θ = 35.8°, intensity 25; 2θ = 40.7°, intensity 25

(2)
Starting from DFT lattice parameters and positions (PBE), the XRD peak list of Ni4Pb5 was computed for Cu Kα (weighted mean of Kα1 and Kα2).
Kinematic intensities with the Lorentz-polarization factor, no thermal factor.

Structure:
Unit cell a=14.242 b=13.686 c=5.586 alpha=84.11 beta=72.92 gamma=22.96
Positions (direct):
Ni 0.081 0.081 0.419
Ni 0.082 0.082 0.918
Ni 0.250 0.250 0.250
Ni 0.419 0.419 0.081
Ni 0.581 0.581 0.919
Ni 0.750 0.750 0.750
Ni 0.918 0.918 0.082
Ni 0.919 0.919 0.581
Pb 0.002 0.668 0.332
Pb 0.166 0.834 0.166
Pb 0.284 0.284 0.716
Pb 0.332 0.998 0.002
Pb 0.413 0.413 0.587
Pb 0.587 0.587 0.413
Pb 0.668 0.002 0.998
Pb 0.716 0.716 0.284
Pb 0.834 0.166 0.834
Pb 0.998 0.332 0.668

The 10 most intense peaks (2θ = 10–90°), in order of falling intensity:
2θ = 42.5°, intensity 100; 2θ = 29.7°, intensity 69; 2θ = 32.2°, intensity 68; 2θ = 32.0°, intensity 42; 2θ = 27.2°, intensity 30; 2θ = 36.3°, intensity 29; 2θ = 40.4°, intensity 22; 2θ = 57.1°, intensity 22; 2θ = 33.6°, intensity 22; 2θ = 67.0°, intensity 21

(3)
Starting from DFT lattice parameters and positions (PBE), the XRD peak list of Sc3Ge2Au4 was computed for Cu Kα (weighted mean of Kα1 and Kα2).
Kinematic intensities with the Lorentz-polarization factor, no thermal factor.

Structure:
Unit cell a=7.119 b=7.119 c=3.902 alpha=90.00 beta=90.00 gamma=120.00
Positions (direct):
Sc 0.000 0.596 0.000
Sc 0.404 0.404 0.000
Sc 0.596 0.000 0.000
Ge 0.333 0.667 0.500
Ge 0.667 0.333 0.500
Au 0.000 0.000 0.000
Au 0.000 0.280 0.500
Au 0.280 0.000 0.500
Au 0.720 0.720 0.500

The 10 most intense peaks (2θ = 10–90°), in order of falling intensity:
2θ = 34.1°, intensity 100; 2θ = 37.2°, intensity 59; 2θ = 45.3°, intensity 49; 2θ = 14.4°, intensity 47; 2θ = 44.1°, intensity 45; 2θ = 25.0°, intensity 40; 2θ = 66.0°, intensity 32; 2θ = 70.9°, intensity 31; 2θ = 38.6°, intensity 24; 2θ = 46.5°, intensity 22